LiV4OF11: computed PXRD pattern (copper Kα), based on a cell relaxed with GGA+U.
Kinematic intensities with the Lorentz-polarization factor, no thermal factor.

Cell and atoms:
```
17
Lattice="5.258 0.000 0.000 2.596 4.875 0.000 0.068 2.902 8.557" Properties=species:S:1:pos:R:3 pbc="T T T"
Li 0.000 0.000 0.000
V 2.610 4.919 3.310
V 2.626 1.766 1.120
V 5.398 6.431 7.428
V 5.238 3.184 5.461
O 4.297 2.530 6.955
F 1.606 1.029 2.621
F 1.642 2.146 5.982
F 3.168 3.362 2.144
F 1.950 0.229 0.058
F 3.649 4.243 4.794
F 3.738 5.418 8.191
F 4.296 0.687 1.608
F 5.916 4.733 6.497
F 4.721 1.664 4.240
F 6.297 3.934 3.874
F 6.287 2.816 0.515
```

Main lines, in order of falling intensity (15 to 90 degrees two-theta):
23.36 deg, I = 100; 23.63 deg, I = 50; 47.76 deg, I = 21; 52.53 deg, I = 15; 53.04 deg, I = 13; 39.43 deg, I = 13; 39.63 deg, I = 13; 32.31 deg, I = 11